ThZr3Sb3: calculated X-ray diffraction stick pattern (CuKα), based on the GGA-PBE geometry in Alexandria.
Lines closer than 0.1° are merged.

Most intense lines, 10 to 80 degrees two-theta, in order of falling intensity:
2theta, Rel. int.
32.79, 100
38.04, 40
25.91, 32
35.12, 31
54.89, 21
44.16, 18

Atomic structure:
```
data_ThZr3Sb3
_chemical_formula_sum 'Th2 Zr6 Sb6'
_cell_length_a 7.4792
_cell_length_b 7.4792
_cell_length_c 7.4792
_cell_angle_alpha 72.56
_cell_angle_beta 72.56
_cell_angle_gamma 72.56
_symmetry_space_group_name_H-M 'P 1'
_symmetry_Int_Tables_number 1
loop_
_symmetry_equiv_pos_as_xyz
'x,y,z'
loop_
_atom_site_label
_atom_site_fract_x
_atom_site_fract_y
_atom_site_fract_z
Th1 0.2010 0.2010 0.2010
Th2 0.7990 0.7990 0.7990
Zr1 0.1857 0.6304 0.4356
Zr2 0.3696 0.5644 0.8143
Zr3 0.4356 0.1857 0.6304
Zr4 0.5644 0.8143 0.3696
Zr5 0.6304 0.4356 0.1857
Zr6 0.8143 0.3696 0.5644
Sb1 0.0521 0.3775 0.8144
Sb2 0.1856 0.9479 0.6225
Sb3 0.3775 0.8144 0.0521
Sb4 0.6225 0.1856 0.9479
Sb5 0.8144 0.0521 0.3775
Sb6 0.9479 0.6225 0.1856
```

***

Rb2LiIn2Te4: calculated X-ray diffraction stick pattern (CuKα), based on the GGA-PBE geometry in Alexandria.
Lines closer than 0.1° are merged.

Most intense lines, 10 to 80 degrees two-theta, in order of falling intensity:
2theta, Rel. int.
27.78, 100
44.81, 54
34.45, 50
28.87, 44
21.95, 42
18.04, 39

Atomic structure:
```
data_Rb2LiIn2Te4
_chemical_formula_sum 'Rb2 Li1 In2 Te4'
_cell_length_a 8.2606
_cell_length_b 8.2606
_cell_length_c 8.3419
_cell_angle_alpha 104.43
_cell_angle_beta 104.43
_cell_angle_gamma 36.75
_symmetry_space_group_name_H-M 'P 1'
_symmetry_Int_Tables_number 1
loop_
_symmetry_equiv_pos_as_xyz
'x,y,z'
loop_
_atom_site_label
_atom_site_fract_x
_atom_site_fract_y
_atom_site_fract_z
Rb1 0.1289 0.1289 0.0766
Rb2 0.8711 0.8711 0.9234
Li1 0.0000 0.0000 0.5000
In1 0.3525 0.3525 0.4741
In2 0.6475 0.6475 0.5259
Te1 0.2046 0.2046 0.6744
Te2 0.4958 0.4958 0.2535
Te3 0.5042 0.5042 0.7465
Te4 0.7954 0.7954 0.3256
```

***

Li3Ag2Au6: calculated X-ray diffraction stick pattern (CuKα), based on the GGA-PBE geometry in Alexandria.
Lines closer than 0.1° are merged.

Most intense lines, 10 to 80 degrees two-theta, in order of falling intensity:
2theta, Rel. int.
39.29, 100
40.89, 83
38.84, 74
21.33, 67
38.94, 66
19.34, 59

Atomic structure:
```
data_Li3Ag2Au6
_chemical_formula_sum 'Li3 Ag2 Au6'
_cell_length_a 5.5946
_cell_length_b 5.6718
_cell_length_c 6.7510
_cell_angle_alpha 74.93
_cell_angle_beta 75.12
_cell_angle_gamma 76.90
_symmetry_space_group_name_H-M 'P 1'
_symmetry_Int_Tables_number 1
loop_
_symmetry_equiv_pos_as_xyz
'x,y,z'
loop_
_atom_site_label
_atom_site_fract_x
_atom_site_fract_y
_atom_site_fract_z
Li1 0.0000 0.0000 0.0000
Li2 0.4222 0.7621 0.5497
Li3 0.5778 0.2379 0.4503
Ag1 0.3081 0.5742 0.1610
Ag2 0.6919 0.4258 0.8390
Au1 0.0539 0.2200 0.5286
Au2 0.2034 0.4033 0.8235
Au3 0.3805 0.0533 0.1900
Au4 0.6195 0.9467 0.8100
Au5 0.7966 0.5967 0.1765
Au6 0.9461 0.7800 0.4714
```